Structure and theoretical XRD peak list of Al2Pt (a crystal structure in the Materials Project, relaxed with GGA-PBE; Cu Kα, 1.54184 Å).
Neutral-atom scattering factors, no anomalous dispersion.

Most intense lines, 10° ≤ 2θ ≤ 90°, in order of rising 2θ:
25.94 deg, I 100.0; 30.04 deg, I 26.3; 43.01 deg, I 64.7; 50.91 deg, I 48.9; 53.35 deg, I 7.5; 62.45 deg, I 10.8; 68.79 deg, I 20.0; 70.84 deg, I 9.8; 78.82 deg, I 22.3; 84.66 deg, I 15.6

a = 4.206 Å, b = 4.206 Å, c = 4.206 Å
α = 60.00°, β = 60.00°, γ = 60.00°
Positions (direct):
Al1 0.250 0.250 0.250
Al2 0.750 0.750 0.750
Pt1 0.000 0.000 0.000

***

Structure and theoretical XRD peak list of Mg2GeSe4 (a crystal structure in the Materials Project, relaxed with GGA-PBE; Cu Kα, 1.54184 Å).
Neutral-atom scattering factors, no anomalous dispersion.

Most intense lines, 10° ≤ 2θ ≤ 90°, in order of rising 2θ:
17.13 deg, I 26.6; 25.95 deg, I 27.0; 27.90 deg, I 28.2; 29.53 deg, I 100.0; 29.68 deg, I 54.6; 38.47 deg, I 34.7; 45.66 deg, I 26.5; 45.99 deg, I 47.8; 50.38 deg, I 43.0; 50.49 deg, I 22.1

a = 13.643 Å, b = 7.947 Å, c = 6.396 Å
α = 90.00°, β = 90.00°, γ = 90.00°
Positions (direct):
Mg1 0.000 0.000 0.000
Mg2 0.000 0.500 0.000
Mg3 0.231 0.250 0.496
Mg4 0.269 0.750 0.996
Mg5 0.500 0.000 0.500
Mg6 0.500 0.500 0.500
Mg7 0.731 0.250 0.004
Mg8 0.769 0.750 0.504
Ge1 0.089 0.750 0.410
Ge2 0.411 0.250 0.910
Ge3 0.589 0.750 0.090
Ge4 0.911 0.250 0.590
Se1 0.071 0.250 0.749
Se2 0.093 0.750 0.781
Se3 0.168 0.516 0.244
Se4 0.168 0.984 0.244
Se5 0.332 0.016 0.744
Se6 0.332 0.484 0.744
Se7 0.407 0.250 0.281
Se8 0.429 0.750 0.249
Se9 0.571 0.250 0.751
Se10 0.593 0.750 0.719
Se11 0.668 0.516 0.256
Se12 0.668 0.984 0.256
Se13 0.832 0.016 0.756
Se14 0.832 0.484 0.756
Se15 0.907 0.250 0.219
Se16 0.929 0.750 0.251

***

Structure and theoretical XRD peak list of Mg2BeB2Ir5 (a crystal structure in the Materials Project, relaxed with GGA-PBE; Cu Kα, 1.54184 Å).
Neutral-atom scattering factors, no anomalous dispersion.

Most intense lines, 10° ≤ 2θ ≤ 90°, in order of rising 2θ:
21.39 deg, I 38.1; 30.44 deg, I 75.7; 30.84 deg, I 100.0; 34.83 deg, I 51.5; 37.85 deg, I 29.8; 40.03 deg, I 77.6; 43.88 deg, I 81.2; 47.20 deg, I 53.1; 51.37 deg, I 54.4; 80.24 deg, I 38.5

a = 9.287 Å, b = 9.287 Å, c = 2.899 Å
α = 90.00°, β = 90.00°, γ = 90.00°
Positions (direct):
Mg1 0.177 0.323 0.000
Mg2 0.323 0.823 0.000
Mg3 0.677 0.177 0.000
Mg4 0.823 0.677 0.000
Be1 0.000 0.000 0.000
Be2 0.500 0.500 0.000
B1 0.130 0.630 0.000
B2 0.370 0.130 0.000
B3 0.630 0.870 0.000
B4 0.870 0.370 0.000
Ir1 0.000 0.500 0.500
Ir2 0.068 0.793 0.500
Ir3 0.207 0.068 0.500
Ir4 0.293 0.568 0.500
Ir5 0.432 0.293 0.500
Ir6 0.500 0.000 0.500
Ir7 0.568 0.707 0.500
Ir8 0.707 0.432 0.500
Ir9 0.793 0.932 0.500
Ir10 0.932 0.207 0.500

***

Structure and theoretical XRD peak list of AsPd2 (a crystal structure in the Materials Project, relaxed with GGA-PBE; Cu Kα, 1.54184 Å).
Neutral-atom scattering factors, no anomalous dispersion.

Most intense lines, 10° ≤ 2θ ≤ 90°, in order of rising 2θ:
36.12 deg, I 100.0; 39.39 deg, I 55.9; 40.97 deg, I 33.9; 46.76 deg, I 37.1; 48.10 deg, I 20.3; 49.37 deg, I 22.0; 66.03 deg, I 16.0; 70.36 deg, I 24.8; 75.64 deg, I 23.3; 83.68 deg, I 8.6

a = 6.730 Å, b = 6.730 Å, c = 3.692 Å
α = 90.00°, β = 90.00°, γ = 120.00°
Positions (direct):
As1 0.000 0.000 0.000
As2 0.333 0.667 0.500
As3 0.667 0.333 0.500
Pd1 0.000 0.392 0.000
Pd2 0.000 0.735 0.500
Pd3 0.265 0.265 0.500
Pd4 0.392 0.000 0.000
Pd5 0.608 0.608 0.000
Pd6 0.735 0.000 0.500

***

Structure and theoretical XRD peak list of Bi8Se9 (a crystal structure in the Materials Project, relaxed with GGA-PBE; Cu Kα, 1.54184 Å).
Neutral-atom scattering factors, no anomalous dispersion.

Most intense lines, 10° ≤ 2θ ≤ 90°, in order of rising 2θ:
18.28 deg, I 17.1; 24.46 deg, I 14.7; 28.48 deg, I 100.0; 38.76 deg, I 36.7; 42.58 deg, I 37.0; 52.02 deg, I 19.2; 58.93 deg, I 11.0; 63.99 deg, I 12.9; 69.41 deg, I 16.5; 75.38 deg, I 10.9

a = 34.055 Å, b = 34.055 Å, c = 34.055 Å
α = 7.15°, β = 7.15°, γ = 7.15°
Positions (direct):
Bi1 0.088 0.088 0.088
Bi2 0.148 0.148 0.148
Bi3 0.324 0.324 0.324
Bi4 0.383 0.383 0.383
Bi5 0.617 0.617 0.617
Bi6 0.676 0.676 0.676
Bi7 0.852 0.852 0.852
Bi8 0.912 0.912 0.912
Se1 0.035 0.035 0.035
Se2 0.201 0.201 0.201
Se3 0.265 0.265 0.265
Se4 0.436 0.436 0.436
Se5 0.500 0.500 0.500
Se6 0.564 0.564 0.564
Se7 0.735 0.735 0.735
Se8 0.799 0.799 0.799
Se9 0.965 0.965 0.965